This entry pairs a crystal structure of KCaPb4 with its calculated powder XRD pattern. Radiation: CuKα. Structure: a crystal structure in Alexandria, relaxed with PBE.

Principal peaks in the range 10 to 80 degrees two-theta, in order of rising 2θ:
h k l, two_theta, I/Imax
0 0 2, 17.6, 32
0 1 1, 18.6, 43
1 0 0, 24.4, 43
1 0 2, 30.5, 50
1 1 -1, 30.8, 77
0 1 3, 31.3, 100
0 2 0, 33.1, 49
1 1 -2, 34.4, 20
1 1 3, 40.4, 24
1 2 0, 41.5, 22
1 2 2, 45.6, 33
1 1 5, 55.1, 19

Crystal structure
```
data_KCaPb4
_chemical_formula_sum 'K1 Ca1 Pb4'
_cell_length_a 3.6439
_cell_length_b 5.4184
_cell_length_c 10.0775
_cell_angle_alpha 90.00
_cell_angle_beta 90.85
_cell_angle_gamma 90.00
_space_group_name_H-M_alt 'P 1 2/m 1'
_space_group_IT_number 10
loop_
_space_group_symop_operation_xyz
'x,y,z'
'-x,-y,-z'
'-x,y,-z'
'x,-y,z'
loop_
_atom_site_label
_atom_site_type_symbol
_atom_site_fract_x
_atom_site_fract_y
_atom_site_fract_z
_atom_site_occupancy
K1 K 0.0000 0.0000 0.0000 1
Ca1 Ca 0.0000 0.5000 0.5000 1
Pb1 Pb 0.3626 0.0000 0.3481 1
Pb2 Pb 0.4634 0.5000 0.8104 1
```

=====

This entry pairs a crystal structure of K2CaSb2Pb with its calculated powder XRD pattern. Radiation: CuKα. Structure: a crystal structure in Alexandria, relaxed with PBE.

Principal peaks in the range 10 to 80 degrees two-theta, in order of rising 2θ:
h k l, two_theta, I/Imax
0 2 0, 10.4, 100
1 1 0, 13.1, 46
1 2 1, 19.8, 69
0 2 2, 25.9, 27
2 2 0, 26.4, 26
1 4 1, 26.9, 25
1 1 2, 27.1, 22
0 4 2, 31.7, 61
2 4 0, 32.1, 58
2 0 2, 34.1, 69
2 2 2, 35.7, 23
2 10 2, 65.3, 22

Crystal structure
```
data_K2CaSb2Pb
_chemical_formula_sum 'K8 Ca4 Sb8 Pb4'
_cell_length_a 7.3641
_cell_length_b 17.0247
_cell_length_c 7.5302
_cell_angle_alpha 90.00
_cell_angle_beta 90.00
_cell_angle_gamma 90.00
_space_group_name_H-M_alt 'I b a m'
_space_group_IT_number 72
_space_group_name_Hall '-I 2 2c'
loop_
_atom_site_label
_atom_site_type_symbol
_atom_site_fract_x
_atom_site_fract_y
_atom_site_fract_z
_atom_site_occupancy
K1 K 0.2251 0.1797 0.0000 1
Ca1 Ca 0.0000 0.5000 0.2500 1
Sb1 Sb 0.2396 0.3915 0.0000 1
Pb1 Pb 0.0000 0.0000 0.2500 1
```